(1)
Theoretical powder X-ray diffraction pattern
Compound: RbLiNd2Mo4O16
Radiation: Cu Kα (weighted mean of Kα1 and Kα2)
Structure: a cell relaxed with GGA+U
Kinematic intensities with the Lorentz-polarization factor, no thermal factor.

Structural model:
```
RbLiNd2Mo4O16
1.0
2.689 -6.607 0.000
2.689 6.607 0.000
-0.801 0.000 19.972
Rb Li Nd Mo O
2 2 4 8 32
direct
0.030 0.970 0.750 Rb
0.970 0.030 0.250 Rb
0.312 0.688 0.750 Li
0.688 0.312 0.250 Li
0.145 0.853 0.534 Nd
0.147 0.855 0.966 Nd
0.853 0.145 0.034 Nd
0.855 0.147 0.466 Nd
0.251 0.738 0.352 Mo
0.262 0.749 0.148 Mo
0.430 0.557 0.908 Mo
0.443 0.570 0.592 Mo
0.557 0.430 0.408 Mo
0.570 0.443 0.092 Mo
0.738 0.251 0.852 Mo
0.749 0.262 0.648 Mo
0.006 0.717 0.175 O
0.063 0.475 0.289 O
0.075 0.597 0.433 O
0.107 0.410 0.133 O
0.183 0.518 0.956 O
0.214 0.257 0.540 O
0.240 0.321 0.400 O
0.257 0.214 0.040 O
0.283 0.994 0.325 O
0.294 0.482 0.671 O
0.321 0.240 0.900 O
0.403 0.925 0.067 O
0.410 0.107 0.633 O
0.475 0.063 0.789 O
0.482 0.294 0.171 O
0.482 0.817 0.544 O
0.518 0.183 0.456 O
0.518 0.706 0.829 O
0.525 0.937 0.211 O
0.590 0.893 0.367 O
0.597 0.075 0.933 O
0.679 0.760 0.100 O
0.706 0.518 0.329 O
0.717 0.006 0.675 O
0.743 0.786 0.960 O
0.760 0.679 0.600 O
0.786 0.743 0.460 O
0.817 0.482 0.044 O
0.893 0.590 0.867 O
0.925 0.403 0.567 O
0.937 0.525 0.711 O
0.994 0.283 0.825 O
```

Largest 10 diffraction maxima, in order of rising 2θ, 10° ≤ 2θ ≤ 80°:
d [Å]	I (rel.)
3.593	63
3.462	60
3.412	48
3.372	55
3.344	61
3.251	58
3.174	86
3.062	100
2.973	47
2.687	50

---

(2)
Theoretical powder X-ray diffraction pattern
Compound: LiMo8O10
Radiation: Cu Kα (weighted mean of Kα1 and Kα2)
Structure: a cell relaxed with GGA+U
Kinematic intensities with the Lorentz-polarization factor, no thermal factor.

Structural model:
```
LiMo8O10
1.0
-3.177 3.177 12.782
3.177 -3.177 12.782
3.177 3.177 -12.782
Li Mo O
2 16 20
direct
0.000 0.000 0.000 Li
0.750 0.250 0.500 Li
0.113 0.378 0.735 Mo
0.128 0.363 0.235 Mo
0.128 0.874 0.254 Mo
0.128 0.893 0.765 Mo
0.290 0.545 0.744 Mo
0.295 0.051 0.756 Mo
0.295 0.540 0.244 Mo
0.456 0.199 0.743 Mo
0.456 0.713 0.257 Mo
0.463 0.706 0.757 Mo
0.620 0.874 0.746 Mo
0.624 0.378 0.754 Mo
0.624 0.870 0.246 Mo
0.643 0.378 0.265 Mo
0.801 0.545 0.256 Mo
0.949 0.706 0.243 Mo
0.047 0.321 0.274 O
0.047 0.773 0.726 O
0.061 0.789 0.272 O
0.071 0.297 0.774 O
0.212 0.490 0.278 O
0.212 0.934 0.722 O
0.226 0.956 0.270 O
0.240 0.462 0.778 O
0.386 0.126 0.260 O
0.517 0.789 0.728 O
0.523 0.297 0.226 O
0.539 0.311 0.772 O
0.539 0.767 0.228 O
0.684 0.462 0.222 O
0.686 0.956 0.730 O
0.706 0.476 0.770 O
0.706 0.936 0.230 O
0.865 0.126 0.740 O
0.876 0.115 0.240 O
0.876 0.636 0.760 O
```

Largest 10 diffraction maxima, in order of rising 2θ, 10° ≤ 2θ ≤ 80°:
d [Å]	I (rel.)
6.391	21
6.166	56
3.983	31
3.166	26
2.547	100
2.246	91
2.130	33
1.588	32
1.546	43
1.348	29

---

(3)
Theoretical powder X-ray diffraction pattern
Compound: Li4Mo3O8
Radiation: Cu Kα (weighted mean of Kα1 and Kα2)
Structure: a cell relaxed with GGA+U
Kinematic intensities with the Lorentz-polarization factor, no thermal factor.

Structural model:
```
Li4Mo3O8
1.0
3.082 1.780 5.212
-3.082 1.780 5.212
0.000 -3.559 5.212
Li Mo O
4 3 8
direct
0.000 0.000 0.000 Li
0.139 0.139 0.139 Li
0.500 0.500 0.500 Li
0.861 0.861 0.861 Li
0.000 0.500 0.500 Mo
0.500 0.000 0.500 Mo
0.500 0.500 0.000 Mo
0.242 0.242 0.731 O
0.242 0.731 0.242 O
0.263 0.263 0.263 O
0.269 0.758 0.758 O
0.731 0.242 0.242 O
0.737 0.737 0.737 O
0.758 0.269 0.758 O
0.758 0.758 0.269 O
```

Largest 10 diffraction maxima, in order of rising 2θ, 10° ≤ 2θ ≤ 80°:
d [Å]	I (rel.)
5.212	100
5.052	25
4.409	16
2.631	44
2.204	53
2.030	14
1.713	18
1.577	17
1.541	17
1.478	16

---

(4)
Theoretical powder X-ray diffraction pattern
Compound: Li4Mo3O8
Radiation: Cu Kα (weighted mean of Kα1 and Kα2)
Structure: a cell relaxed with GGA+U
Kinematic intensities with the Lorentz-polarization factor, no thermal factor.

Structural model:
```
Li4Mo3O8
1.0
2.915 1.683 10.831
-2.915 1.683 10.831
0.000 -3.366 10.831
Li Mo O
8 6 16
direct
0.000 0.000 0.000 Li
0.174 0.174 0.174 Li
0.246 0.246 0.246 Li
0.315 0.315 0.315 Li
0.500 0.500 0.500 Li
0.685 0.685 0.685 Li
0.754 0.754 0.754 Li
0.826 0.826 0.826 Li
0.268 0.268 0.714 Mo
0.268 0.714 0.268 Mo
0.286 0.732 0.732 Mo
0.714 0.268 0.268 Mo
0.732 0.286 0.732 Mo
0.732 0.732 0.286 Mo
0.113 0.113 0.622 O
0.113 0.622 0.113 O
0.116 0.116 0.116 O
0.129 0.620 0.620 O
0.372 0.372 0.372 O
0.378 0.887 0.887 O
0.380 0.380 0.871 O
0.380 0.871 0.380 O
0.620 0.129 0.620 O
0.620 0.620 0.129 O
0.622 0.113 0.113 O
0.628 0.628 0.628 O
0.871 0.380 0.380 O
0.884 0.884 0.884 O
0.887 0.378 0.887 O
0.887 0.887 0.378 O
```

Largest 10 diffraction maxima, in order of rising 2θ, 10° ≤ 2θ ≤ 80°:
d [Å]	I (rel.)
5.416	100
4.822	21
4.288	15
2.495	33
2.411	10
2.144	43
1.994	12
1.709	14
1.582	15
1.458	11

---

(5)
Theoretical powder X-ray diffraction pattern
Compound: LiMoO2
Radiation: Cu Kα (weighted mean of Kα1 and Kα2)
Structure: a cell relaxed with GGA+U
Kinematic intensities with the Lorentz-polarization factor, no thermal factor.

Structural model:
```
LiMoO2
1.0
3.212 0.000 0.000
-1.606 2.782 0.000
0.000 0.000 14.811
Li Mo O
3 3 6
direct
0.000 0.000 0.000 Li
0.333 0.667 0.667 Li
0.667 0.333 0.333 Li
0.000 0.000 0.500 Mo
0.333 0.667 0.167 Mo
0.667 0.333 0.833 Mo
0.000 0.000 0.245 O
0.000 0.000 0.755 O
0.333 0.667 0.422 O
0.333 0.667 0.912 O
0.667 0.333 0.088 O
0.667 0.333 0.578 O
```

Largest 10 diffraction maxima, in order of rising 2θ, 10° ≤ 2θ ≤ 80°:
d [Å]	I (rel.)
4.937	100
2.734	61
2.604	30
2.224	72
2.028	23
1.684	16
1.606	24
1.541	20
1.527	21
1.302	11

---

(6)
Theoretical powder X-ray diffraction pattern
Compound: LiMoO2
Radiation: Cu Kα (weighted mean of Kα1 and Kα2)
Structure: a cell relaxed with GGA+U
Kinematic intensities with the Lorentz-polarization factor, no thermal factor.

Structural model:
```
LiMoO2
1.0
5.084 0.000 0.000
0.000 5.264 0.000
0.000 0.000 3.181
Li Mo O
2 2 4
direct
0.000 0.000 0.000 Li
0.500 0.500 0.500 Li
0.000 0.500 0.000 Mo
0.500 0.000 0.500 Mo
0.171 0.269 0.500 O
0.329 0.769 0.000 O
0.671 0.231 0.000 O
0.829 0.731 0.500 O
```

Largest 10 diffraction maxima, in order of rising 2θ, 10° ≤ 2θ ≤ 80°:
d [Å]	I (rel.)
3.657	100
2.722	40
2.696	37
2.542	15
1.884	45
1.858	28
1.829	21
1.496	13
1.458	12
1.315	12

---

(7)
Theoretical powder X-ray diffraction pattern
Compound: Li4MoO5
Radiation: Cu Kα (weighted mean of Kα1 and Kα2)
Structure: a cell relaxed with GGA+U
Kinematic intensities with the Lorentz-polarization factor, no thermal factor.

Structural model:
```
Li4MoO5
1.0
5.135 0.000 0.000
-1.023 5.079 0.000
-1.601 -2.843 7.100
Li Mo O
8 2 10
direct
0.000 0.000 0.000 Li
0.077 0.194 0.702 Li
0.194 0.386 0.390 Li
0.283 0.598 0.098 Li
0.500 0.000 0.500 Li
0.717 0.402 0.902 Li
0.806 0.614 0.610 Li
0.923 0.806 0.298 Li
0.393 0.779 0.783 Mo
0.607 0.221 0.217 Mo
0.074 0.609 0.845 O
0.167 0.812 0.573 O
0.277 0.011 0.249 O
0.368 0.176 0.958 O
0.449 0.432 0.664 O
0.551 0.568 0.336 O
0.632 0.824 0.042 O
0.723 0.989 0.751 O
0.833 0.188 0.427 O
0.926 0.391 0.155 O
```

Largest 10 diffraction maxima, in order of rising 2θ, 10° ≤ 2θ ≤ 80°:
d [Å]	I (rel.)
4.836	100
4.659	32
3.979	22
3.590	18
3.548	31
3.390	21
2.128	24
2.106	27
2.065	23
1.488	14